[1]
Computed XRD peak list
Compound: Li6DyZn6
Radiation: a wavelength of 1.5418 Å
Structure: a cell relaxed with GGA-PBE
Intensities are scaled so that the largest is 100.

Structural model:
a b c (Å): 6.9632 6.9632 6.9632
angles (deg): 136.73 98.16 97.47
Element x y z (fractional)
1 Li 0.1435 0.5000 0.6435
2 Li 0.1544 0.1544 0.0000
3 Li 0.2919 0.0000 0.2919
4 Li 0.7081 0.0000 0.7081
5 Li 0.8456 0.8456 0.0000
6 Li 0.8565 0.5000 0.3565
7 Dy 0.5000 0.5000 0.0000
8 Zn 0.0000 0.0000 0.5000
9 Zn 0.0000 0.5000 0.0000
10 Zn 0.2899 0.7899 0.5000
11 Zn 0.5000 0.0000 0.0000
12 Zn 0.5000 0.5000 0.5000
13 Zn 0.7101 0.2101 0.5000

Top 10 peaks for 2θ = 15–90°, most intense first:
| Position (°2θ) | d_spacing | I_rel |
| --- | --- | --- |
| 27.85 | 3.204 | 100 |
| 40.29 | 2.238 | 95 |
| 39.54 | 2.279 | 71 |
| 27.56 | 3.236 | 53 |
| 39.65 | 2.273 | 38 |
| 19.33 | 4.593 | 38 |
| 57.51 | 1.602 | 36 |
| 39.23 | 2.296 | 32 |
| 34.09 | 2.630 | 23 |
| 45.07 | 2.011 | 21 |

---

[2]
Computed XRD peak list
Compound: KY2Pb
Radiation: a wavelength of 1.5418 Å
Structure: a cell relaxed with GGA-PBE
Intensities are scaled so that the largest is 100.

Structural model:
a b c (Å): 3.6940 3.6940 10.6150
angles (deg): 90.00 90.00 90.00
Element x y z (fractional)
1 K 0.0000 0.0000 0.0000
2 Y 0.0000 0.0000 0.4411
3 Y 0.5000 0.5000 0.6650
4 Pb 0.5000 0.5000 0.2475

Top 10 peaks for 2θ = 15–90°, most intense first:
| Position (°2θ) | d_spacing | I_rel |
| --- | --- | --- |
| 29.46 | 3.032 | 100 |
| 34.33 | 2.612 | 41 |
| 35.12 | 2.555 | 38 |
| 58.52 | 1.577 | 28 |
| 55.80 | 1.647 | 16 |
| 62.00 | 1.497 | 15 |
| 49.34 | 1.847 | 14 |
| 24.09 | 3.694 | 14 |
| 35.39 | 2.536 | 14 |
| 48.93 | 1.862 | 12 |

---

[3]
Computed XRD peak list
Compound: Ca2LaSe3
Radiation: a wavelength of 1.5418 Å
Structure: a cell relaxed with GGA-PBE
Intensities are scaled so that the largest is 100.

Structural model:
a b c (Å): 7.3672 7.3672 7.3672
angles (deg): 146.62 131.72 59.96
Element x y z (fractional)
1 Ca 0.1668 0.1668 0.0000
2 Ca 0.8332 0.8332 0.0000
3 La 0.5000 0.5000 0.0000
4 Se 0.0000 0.5000 0.5000
5 Se 0.3284 0.8284 0.5000
6 Se 0.6716 0.1716 0.5000

Top 10 peaks for 2θ = 15–90°, most intense first:
| Position (°2θ) | d_spacing | I_rel |
| --- | --- | --- |
| 29.78 | 3.000 | 100 |
| 42.52 | 2.126 | 92 |
| 29.65 | 3.013 | 51 |
| 69.90 | 1.346 | 24 |
| 52.88 | 1.731 | 19 |
| 52.67 | 1.738 | 19 |
| 42.74 | 2.116 | 18 |
| 77.80 | 1.228 | 18 |
| 70.07 | 1.343 | 17 |
| 16.27 | 5.449 | 16 |